This entry pairs a crystal structure of Tb4Dy3Er4 with its simulated powder XRD pattern. Radiation: Cu Kα (λ = 1.5418 Å). Structure: the GGA-PBE geometry in Alexandria.

abc: 3.4793 5.5590 17.9722
angles: 98.89 95.54 90.00
Space group P-1 (No. 2)
Inequivalent atoms, fractional coordinates:
Tb 0.0453 0.0467 0.0918 [2 per cell]
Tb 0.1799 0.6808 0.3610 [2 per cell]
Dy 0.3635 0.8627 0.7262 [2 per cell]
Dy 0.5000 0.5000 0.0000 [1 per cell]
Er 0.0905 0.5915 0.1812 [2 per cell]
Er 0.2337 0.2335 0.4669 [2 per cell]

Main lines, in order of rising 2θ (2θ = 10–90°):
hkl  2θ (°)  Rel. int.
1 0 -4  31.22  27.1
1 -1 2  31.99  60.1
0 2 -1  32.19  100.0
-1 2 3  45.47  19.4
1 0 7  46.55  11.4
0 0 11  57.32  14.4
0 3 4  57.41  12.9
1 -2 8  57.73  12.0
2 2 -2  63.03  29.3
2 3 3  81.60  13.6